1.
Theoretical powder XRD pattern
Compound: PdO3
Radiation: Cu Kα (λ = 1.5418 Å)
Structure: a cell relaxed with GGA-PBE
Kinematic intensities with the Lorentz-polarization factor, no thermal factor.

Most intense lines, 2θ from 15° to 90°, sorted by position:
d_spacing	I_rel
4.660	24
4.127	70
3.598	58
3.541	46
2.575	22
2.412	100
2.301	43
2.281	17
1.956	15
1.876	26
1.697	25
1.513	26

Structural model:
```
PdO3
1.0
2.5998 -4.6604 0.0000
2.5998 4.6604 0.0000
-1.8916 0.0000 3.5982
Pd O
2 6
Cartesian
2.5998 3.1998 0.0000
2.5998 -3.1998 0.0000
-0.8196 0.0000 2.4667
1.7516 1.5334 1.1191
1.5564 1.5334 2.4791
1.7516 -1.5334 1.1191
1.5564 -1.5334 2.4791
4.1276 0.0000 1.1315
```

---

2.
Theoretical powder XRD pattern
Compound: PdO3
Radiation: Cu Kα (λ = 1.5418 Å)
Structure: a cell relaxed with GGA-PBE
Kinematic intensities with the Lorentz-polarization factor, no thermal factor.

Most intense lines, 2θ from 15° to 90°, sorted by position:
d_spacing	I_rel
4.523	50
3.928	40
3.569	56
3.076	20
2.599	23
2.427	100
2.323	46
1.879	27
1.694	30
1.628	16
1.568	16
1.530	25

Structural model:
```
PdO3
1.0
2.6326 -4.7034 0.0000
2.6326 4.7034 0.0000
-1.4563 0.0000 7.1384
Pd O
4 12
Cartesian
0.0000 0.0000 0.0000
1.9044 0.0406 3.5692
2.6326 -1.5295 0.0000
1.9044 -3.1593 3.5692
0.9796 1.5874 1.0833
1.0267 1.6659 2.4455
0.1231 -0.1045 4.6785
0.3145 0.1210 6.0227
0.8917 -1.6277 1.1317
0.9603 -1.5589 2.4955
2.7821 1.6659 4.6929
2.8292 1.5874 6.0551
3.4943 0.1210 1.1156
3.6857 -0.1045 2.4599
2.8485 -1.5589 4.6429
2.9171 -1.6277 6.0067
```

---

3.
Theoretical powder XRD pattern
Compound: Pd2O5
Radiation: Cu Kα (λ = 1.5418 Å)
Structure: a cell relaxed with GGA-PBE
Kinematic intensities with the Lorentz-polarization factor, no thermal factor.

Most intense lines, 2θ from 15° to 90°, sorted by position:
d_spacing	I_rel
4.541	30
4.152	81
3.416	81
3.379	73
2.540	32
2.340	100
2.334	59
2.271	26
1.885	22
1.818	30
1.611	27
1.525	28

Structural model:
```
Pd2O5
1.0
2.6483 -4.5412 0.0000
2.6483 4.5412 0.0000
-1.8121 0.0000 3.3789
Pd O
2 5
Cartesian
2.6483 3.1682 0.0000
2.6483 -3.1682 0.0000
1.7965 1.4124 1.0067
1.6686 1.4944 2.3807
1.7965 -1.4124 1.0067
1.6686 -1.4944 2.3807
4.5036 0.0000 1.1426
```

---

4.
Theoretical powder XRD pattern
Compound: PdO3
Radiation: Cu Kα (λ = 1.5418 Å)
Structure: a cell relaxed with GGA-PBE
Kinematic intensities with the Lorentz-polarization factor, no thermal factor.

Most intense lines, 2θ from 15° to 90°, sorted by position:
d_spacing	I_rel
4.409	63
4.020	62
3.501	80
3.415	74
3.210	55
2.851	38
2.623	51
2.457	47
2.398	100
2.376	42
2.369	69
1.706	51

Structural model:
```
PdO3
1.0
5.2586 0.0000 0.0000
2.4904 4.7619 0.0000
2.0066 0.1648 7.2427
Pd O
4 12
Cartesian
0.0000 0.0000 0.0000
1.8467 1.5211 1.9825
4.4430 3.3611 1.9890
5.3430 1.6648 5.4191
0.9313 0.1063 3.1355
4.2938 2.9996 6.5335
2.6916 2.8669 0.6741
3.6204 1.7496 4.3194
3.7735 1.6665 3.0021
4.3372 0.2361 6.6591
2.9149 0.1094 0.6875
6.2854 3.2018 4.3596
6.2554 3.1567 3.0331
5.2926 1.9548 0.6719
7.1673 2.0466 6.4903
6.4275 0.1951 4.4637
```

---

5.
Theoretical powder XRD pattern
Compound: Pd4O5
Radiation: Cu Kα (λ = 1.5418 Å)
Structure: a cell relaxed with GGA-PBE
Kinematic intensities with the Lorentz-polarization factor, no thermal factor.

Most intense lines, 2θ from 15° to 90°, sorted by position:
d_spacing	I_rel
2.714	100
2.565	2
2.132	1
1.924	6
1.917	19
1.569	16
1.566	26
1.358	7
1.355	6
1.216	5
1.213	11
1.108	4

Structural model:
```
Pd4O5
1.0
3.8338 0.0000 0.0000
0.0000 3.8338 0.0000
0.0000 0.0000 7.6955
Pd O
4 5
Cartesian
0.0000 0.0000 0.0000
0.0000 0.0000 3.8478
1.9169 1.9169 1.7928
1.9169 1.9169 5.9027
0.0000 1.9169 1.2699
0.0000 1.9169 6.4256
1.9169 0.0000 1.2699
1.9169 0.0000 6.4256
1.9169 1.9169 3.8478
```

---

6.
Theoretical powder XRD pattern
Compound: Pd2O5
Radiation: Cu Kα (λ = 1.5418 Å)
Structure: a cell relaxed with GGA-PBE
Kinematic intensities with the Lorentz-polarization factor, no thermal factor.

Most intense lines, 2θ from 15° to 90°, sorted by position:
d_spacing	I_rel
4.787	70
4.092	100
3.479	21
3.412	22
3.192	68
2.613	49
2.605	25
2.450	71
2.380	63
2.263	54
1.784	21
1.596	26

Structural model:
```
Pd2O5
1.0
3.7705 0.0000 0.0000
-0.9274 4.5263 0.0000
-1.2816 -2.2520 4.7868
Pd O
2 5
Cartesian
0.0000 0.0000 0.0000
0.1098 0.0503 3.2325
0.1627 1.9765 0.0462
-0.4381 2.3139 3.6604
1.4520 0.5450 1.8116
2.5160 -0.3225 1.7743
2.6613 2.5618 0.0457
```

---

7.
Theoretical powder XRD pattern
Compound: Pd3O
Radiation: Cu Kα (λ = 1.5418 Å)
Structure: a cell relaxed with GGA-PBE
Kinematic intensities with the Lorentz-polarization factor, no thermal factor.

Most intense lines, 2θ from 15° to 90°, sorted by position:
d_spacing	I_rel
2.798	11
2.421	70
2.408	15
2.326	100
2.222	23
2.212	24
1.957	17
1.674	18
1.400	16
1.380	20
1.351	11
1.211	18

Structural model:
```
Pd3O
1.0
4.2014 -2.4079 0.0000
4.2014 2.4079 0.0000
0.0000 0.0000 5.5951
Pd O
6 2
Cartesian
0.0000 0.0000 0.0000
0.0000 0.0000 2.7975
2.6810 0.4357 4.1963
2.6810 -0.4357 1.3988
5.7217 0.4357 4.1963
5.7217 -0.4357 1.3988
4.2014 0.9652 1.3988
4.2014 -0.9652 4.1963
```

---

8.
Theoretical powder XRD pattern
Compound: PmPdO3
Radiation: Cu Kα (λ = 1.5418 Å)
Structure: a cell relaxed with GGA-PBE
Kinematic intensities with the Lorentz-polarization factor, no thermal factor.

Most intense lines, 2θ from 15° to 90°, sorted by position:
d_spacing	I_rel
2.890	100
2.694	92
1.971	48
1.669	28
1.628	42
1.523	16
1.445	14
1.347	13
1.274	17
1.221	16
1.165	7
1.092	11

Structural model:
```
PmPdO3
1.0
2.8903 1.6687 4.2623
-2.8903 1.6687 4.2623
0.0000 -3.3375 4.2623
Pm Pd O
2 2 6
Cartesian
0.0000 0.0000 3.1968
0.0000 0.0000 9.5903
0.0000 0.0000 0.0000
0.0000 0.0000 6.3935
-1.7420 0.3203 5.3279
-1.1484 -1.3484 7.4591
0.5936 -1.6687 5.3279
-0.5936 1.6687 7.4591
1.1484 1.3484 5.3279
1.7420 -0.3203 7.4591
```

---

9.
Theoretical powder XRD pattern
Compound: Pr2PdO4
Radiation: Cu Kα (λ = 1.5418 Å)
Structure: a cell relaxed with GGA-PBE
Kinematic intensities with the Lorentz-polarization factor, no thermal factor.

Most intense lines, 2θ from 15° to 90°, sorted by position:
d_spacing	I_rel
5.794	11
3.193	100
3.026	14
2.897	18
2.838	17
2.591	41
2.549	48
1.901	47
1.868	30
1.661	25
1.465	17
1.405	13

Structural model:
```
Pr2PdO4
1.0
8.1936 0.0000 0.0000
0.0000 8.1936 0.0000
0.0000 0.0000 6.5119
Pr Pd O
8 4 16
Cartesian
0.5776 4.6744 1.6280
0.5776 7.6161 4.8839
3.5193 4.6744 4.8839
3.5193 7.6161 1.6280
4.6744 0.5776 4.8839
4.6744 3.5193 1.6280
7.6161 0.5776 1.6280
7.6161 3.5193 4.8839
2.0484 2.0484 0.4218
2.0484 2.0484 3.6778
6.1452 6.1452 2.8342
6.1452 6.1452 6.0901
0.0503 1.4799 3.7640
0.0503 2.6169 0.5080
1.4799 0.0503 0.5080
1.4799 4.0465 3.7640
2.6169 0.0503 3.7640
2.6169 4.0465 0.5080
4.0465 1.4799 0.5080
4.0465 2.6169 3.7640
4.1471 5.5767 2.7479
4.1471 6.7137 6.0039
5.5767 4.1471 6.0039
5.5767 8.1433 2.7479
6.7137 4.1471 2.7479
6.7137 8.1433 6.0039
8.1433 5.5767 6.0039
8.1433 6.7137 2.7479
```

---

10.
Theoretical powder XRD pattern
Compound: Pr2PdO4
Radiation: Cu Kα (λ = 1.5418 Å)
Structure: a cell relaxed with GGA-PBE
Kinematic intensities with the Lorentz-polarization factor, no thermal factor.

Most intense lines, 2θ from 15° to 90°, sorted by position:
d_spacing	I_rel
2.902	100
2.865	16
2.853	19
2.084	9
2.022	21
1.740	5
1.684	18
1.661	15
1.657	20
1.451	9
1.314	6
1.282	5

Structural model:
```
Pr2PdO4
1.0
5.7062 0.0000 0.0000
0.0000 5.7309 0.0000
0.0000 0.0000 12.5054
Pr Pd O
8 4 16
Cartesian
0.0505 0.2093 1.9287
0.0505 2.6561 8.1814
2.8026 3.0748 1.9287
2.8026 5.5216 8.1814
2.9036 0.2093 4.3240
2.9036 2.6561 10.5767
5.6557 3.0748 4.3240
5.6557 5.5216 10.5767
0.0000 0.0000 6.2527
0.0000 2.8655 0.0000
2.8531 0.0000 0.0000
2.8531 2.8655 6.2527
1.1254 4.0004 6.3935
1.1254 4.5960 0.1407
1.3811 1.2231 9.4461
1.3811 1.6423 3.1934
1.4720 4.0886 9.4461
1.4720 4.5078 3.1934
1.7277 1.1349 6.3935
1.7277 1.7305 0.1407
3.9786 4.0004 12.3647
3.9786 4.5960 6.1120
4.2342 1.2231 9.3121
4.2342 1.6423 3.0594
4.3251 4.0886 9.3121
4.3251 4.5078 3.0594
4.5808 1.1349 12.3647
4.5808 1.7305 6.1120
```

---

11.
Theoretical powder XRD pattern
Compound: TePdPtO
Radiation: Cu Kα (λ = 1.5418 Å)
Structure: a cell relaxed with GGA-PBE
Kinematic intensities with the Lorentz-polarization factor, no thermal factor.

Most intense lines, 2θ from 15° to 90°, sorted by position:
d_spacing	I_rel
4.853	55
3.803	41
3.256	71
2.911	60
2.771	35
2.717	50
2.495	100
2.181	29
2.169	35
2.137	65
1.975	39
1.912	80

Structural model:
```
TePdPtO
1.0
7.6061 0.0000 0.0000
0.0000 6.3030 0.0000
0.0000 0.0000 5.8170
Te Pd Pt O
4 4 4 4
Cartesian
0.9506 0.1464 1.4542
0.9506 3.0051 4.3627
6.6555 3.2979 1.4542
6.6555 6.1567 4.3627
1.6179 3.8974 1.4542
1.6179 5.5571 4.3627
5.9882 0.7459 1.4542
5.9882 2.4056 4.3627
2.5791 1.5758 0.0000
2.5791 1.5758 2.9085
5.0270 4.7273 0.0000
5.0270 4.7273 2.9085
3.6988 4.0617 1.4542
3.6988 5.3928 4.3627
3.9073 0.9102 1.4542
3.9073 2.2413 4.3627
```

---

12.
Theoretical powder XRD pattern
Compound: ZnPd2PtO6
Radiation: Cu Kα (λ = 1.5418 Å)
Structure: a cell relaxed with GGA-PBE
Kinematic intensities with the Lorentz-polarization factor, no thermal factor.

Most intense lines, 2θ from 15° to 90°, sorted by position:
d_spacing	I_rel
5.813	28
2.907	100
2.773	18
2.666	85
2.493	22
2.367	39
1.789	16
1.716	58
1.507	15
1.485	28
1.470	12
1.387	21

Structural model:
```
ZnPd2PtO6
1.0
3.5777 -4.9851 0.0000
3.5777 4.9851 0.0000
0.0000 0.0000 3.1556
Zn Pd Pt O
1 2 1 6
Cartesian
0.0000 0.0000 0.0000
1.7888 2.4926 1.5778
1.7888 -2.4926 1.5778
3.5777 0.0000 0.0000
3.5777 3.5037 1.5778
2.0822 1.2547 0.0000
2.0822 -1.2547 0.0000
5.0732 1.2547 0.0000
5.0732 -1.2547 0.0000
3.5777 -3.5037 1.5778
```